No. 1
The following is a simulated powder X-ray diffraction pattern of Al7Ag. It was derived from DFT lattice parameters and positions (PBE), using Cu Kα (λ = 1.5418 Å).

Structural model:
abc: 5.685 8.176 6.382
angles: 90.00 115.34 90.00
Space group C2/m (No. 12)
Inequivalent atoms, fractional coordinates:
Al 0.000 0.000 0.000 (multiplicity 2)
Al 0.124 0.251 0.748 (multiplicity 8)
Al 0.249 0.000 0.498 (multiplicity 4)
Ag 0.000 0.500 0.000 (multiplicity 2)

Most intense lines, 10 to 90 degrees two-theta, in order of falling intensity:
2theta, I/Imax
38.2, 100.0
38.6, 97.1
44.3, 64.5
20.4, 39.6
20.6, 37.8
15.4, 35.9
45.2, 30.4
26.7, 21.5
64.5, 20.5
65.2, 19.8

No. 2
The following is a simulated powder X-ray diffraction pattern of NbAgPd. It was derived from DFT lattice parameters and positions (PBE), using Cu Kα (λ = 1.5418 Å).

Structural model:
abc: 3.195 3.468 9.339
angles: 90.10 90.00 90.12
Space group P-1 (No. 2)
Inequivalent atoms, fractional coordinates:
Nb 0.249 0.251 0.090 (multiplicity 2)
Ag 0.250 0.250 0.416 (multiplicity 2)
Pd 0.251 0.249 0.760 (multiplicity 2)

Most intense lines, 10 to 90 degrees two-theta, in order of falling intensity:
2theta, I/Imax
38.3, 100.0
38.9, 94.3
40.5, 84.1
72.9, 20.0
52.8, 19.2
68.5, 16.8
68.6, 16.7
71.7, 14.7
71.8, 14.6
57.7, 14.6

No. 3
The following is a simulated powder X-ray diffraction pattern of Ba4Sr3Ca. It was derived from DFT lattice parameters and positions (PBE), using Cu Kα (λ = 1.5418 Å).

Structural model:
abc: 29.254 4.318 7.510
angles: 90.00 104.56 90.00
Space group C2/m (No. 12)
Inequivalent atoms, fractional coordinates:
Ba 0.121 0.000 0.450 (multiplicity 4)
Ba 0.249 0.000 0.248 (multiplicity 4)
Sr 0.000 0.500 0.500 (multiplicity 2)
Sr 0.119 0.500 0.952 (multiplicity 4)
Ca 0.000 0.000 0.000 (multiplicity 2)

Most intense lines, 10 to 90 degrees two-theta, in order of falling intensity:
2theta, I/Imax
27.0, 100.0
24.6, 93.0
26.9, 92.2
25.2, 69.9
49.4, 42.5
30.5, 42.4
41.7, 35.8
45.5, 25.5
49.2, 21.1
50.4, 18.9

No. 4
The following is a simulated powder X-ray diffraction pattern of CaNd3Bi3. It was derived from DFT lattice parameters and positions (PBE), using Cu Kα (λ = 1.5418 Å).

Structural model:
abc: 9.4661 9.4661 19.3744
angles: 90.00 90.00 120.00
Space group R-3 (No. 148, hexagonal axes)
Inequivalent atoms, fractional coordinates:
Ca 0.0000 0.0000 0.1675 (multiplicity 6)
Nd 0.0047 0.2668 0.5856 (multiplicity 18)
Bi 0.0055 0.3868 0.4187 (multiplicity 18)

Most intense lines, 10 to 90 degrees two-theta, in order of falling intensity:
2theta, I/Imax
18.7, 100.0
27.6, 80.6
32.8, 77.2
33.6, 71.6
30.3, 64.5
43.4, 56.7
34.4, 45.2
29.2, 41.3
47.7, 31.1
60.6, 22.3

No. 5
The following is a simulated powder X-ray diffraction pattern of Ac2SnPPt6. It was derived from DFT lattice parameters and positions (PBE), using Cu Kα (λ = 1.5418 Å).

Structural model:
abc: 6.293 6.293 10.814
angles: 90.00 90.00 90.00
Space group I4mm (No. 107)
Inequivalent atoms, fractional coordinates:
Ac 0.000 0.500 0.000 (multiplicity 4)
Sn 0.000 0.000 0.326 (multiplicity 2)
P 0.000 0.000 0.857 (multiplicity 2)
Pt 0.000 0.000 0.071 (multiplicity 2)
Pt 0.000 0.000 0.559 (multiplicity 2)
Pt 0.228 0.228 0.734 (multiplicity 8)

Most intense lines, 10 to 90 degrees two-theta, in order of falling intensity:
2theta, I/Imax
32.9, 100.0
40.5, 42.8
69.0, 19.7
39.0, 17.6
44.2, 17.5
58.7, 15.7
33.1, 14.9
53.3, 14.6
57.5, 13.4
25.9, 9.3

No. 6
The following is a simulated powder X-ray diffraction pattern of PmIO4. It was derived from DFT lattice parameters and positions (PBE), using Cu Kα (λ = 1.5418 Å).

Structural model:
abc: 10.926 5.662 7.143
angles: 90.00 94.37 90.00
Space group C2/c (No. 15)
Inequivalent atoms, fractional coordinates:
Pm 0.250 0.250 0.000 (multiplicity 4)
I 0.000 0.018 0.750 (multiplicity 4)
O 0.028 0.241 0.942 (multiplicity 8)
O 0.186 0.017 0.731 (multiplicity 8)

Most intense lines, 10 to 90 degrees two-theta, in order of falling intensity:
2theta, I/Imax
21.3, 100.0
17.7, 95.9
40.7, 58.8
32.9, 44.7
31.1, 43.6
22.0, 43.1
35.7, 37.7
28.9, 36.6
32.6, 24.0
31.3, 23.9

No. 7
The following is a simulated powder X-ray diffraction pattern of TlAg2AuCl8. It was derived from DFT lattice parameters and positions (PBE), using Cu Kα (λ = 1.5418 Å).

Structural model:
abc: 6.424 7.815 7.324
angles: 90.00 94.10 90.00
Space group P2/m (No. 10)
Inequivalent atoms, fractional coordinates:
Tl 0.000 0.000 0.000 (multiplicity 1)
Ag 0.500 0.252 0.500 (multiplicity 2)
Au 0.000 0.500 0.000 (multiplicity 1)
Cl 0.218 0.300 0.872 (multiplicity 4)
Cl 0.290 0.500 0.366 (multiplicity 2)
Cl 0.308 0.000 0.342 (multiplicity 2)

Most intense lines, 10 to 90 degrees two-theta, in order of falling intensity:
2theta, I/Imax
17.7, 100.0
19.1, 81.1
26.7, 50.1
39.0, 38.4
37.7, 35.6
25.9, 35.4
24.4, 34.3
29.0, 32.8
43.8, 29.7
35.8, 29.4

No. 8
The following is a simulated powder X-ray diffraction pattern of CaYInI6. It was derived from DFT lattice parameters and positions (PBE), using Cu Kα (λ = 1.5418 Å).

Structural model:
abc: 7.9475 7.9475 15.2605
angles: 90.00 90.00 120.00
Space group P-31c (No. 163)
Inequivalent atoms, fractional coordinates:
Ca 0.3333 0.6667 0.2500 (multiplicity 2)
Y 0.3333 0.6667 0.7500 (multiplicity 2)
In 0.0000 0.0000 0.0000 (multiplicity 2)
I 0.0096 0.3669 0.6338 (multiplicity 12)

Most intense lines, 10 to 90 degrees two-theta, in order of falling intensity:
2theta, I/Imax
25.3, 100.0
32.5, 51.1
39.3, 33.6
42.2, 23.7
17.4, 23.5
47.3, 14.6
63.4, 13.8
36.5, 13.0
23.3, 12.1
51.9, 11.3

No. 9
The following is a simulated powder X-ray diffraction pattern of PmZn2Hg. It was derived from DFT lattice parameters and positions (PBE), using Cu Kα (λ = 1.5418 Å).

Structural model:
abc: 4.594 5.662 7.050
angles: 90.00 90.00 90.00
Space group Amm2 (No. 38)
Inequivalent atoms, fractional coordinates:
Pm 0.000 0.000 0.000 (multiplicity 2)
Zn 0.000 0.000 0.441 (multiplicity 2)
Zn 0.500 0.000 0.296 (multiplicity 2)
Hg 0.500 0.000 0.686 (multiplicity 2)

Most intense lines, 10 to 90 degrees two-theta, in order of falling intensity:
2theta, I/Imax
32.0, 100.0
28.0, 79.9
45.6, 75.2
31.6, 68.3
39.2, 38.1
41.6, 36.5
51.2, 35.2
58.5, 26.9
72.0, 18.5
75.2, 16.9

No. 10
The following is a simulated powder X-ray diffraction pattern of NbIn2Cl6. It was derived from DFT lattice parameters and positions (PBE), using Cu Kα (λ = 1.5418 Å).

Structural model:
abc: 7.118 8.060 11.912
angles: 90.00 124.11 90.00
Space group P2_1/c (No. 14)
Inequivalent atoms, fractional coordinates:
Nb 0.000 0.000 0.000 (multiplicity 2)
In 0.281 0.094 0.761 (multiplicity 4)
Cl 0.144 0.031 0.239 (multiplicity 4)
Cl 0.217 0.746 0.051 (multiplicity 4)
Cl 0.324 0.161 0.037 (multiplicity 4)

Most intense lines, 10 to 90 degrees two-theta, in order of falling intensity:
2theta, I/Imax
14.2, 100.0
25.0, 93.1
24.2, 49.7
28.6, 48.2
36.8, 44.0
36.4, 41.8
33.6, 40.4
35.2, 40.3
23.9, 35.8
19.2, 34.4

No. 11
The following is a simulated powder X-ray diffraction pattern of Ga2SiBi. It was derived from DFT lattice parameters and positions (PBE), using Cu Kα (λ = 1.5418 Å).

Structural model:
abc: 6.074 6.074 11.830
angles: 90.00 90.00 90.00
Space group I-42d (No. 122)
Inequivalent atoms, fractional coordinates:
Ga 0.198 0.250 0.125 (multiplicity 8)
Si 0.000 0.000 0.000 (multiplicity 4)
Bi 0.000 0.000 0.500 (multiplicity 4)

Most intense lines, 10 to 90 degrees two-theta, in order of falling intensity:
2theta, I/Imax
25.6, 100.0
42.7, 46.7
16.4, 36.1
33.9, 31.9
49.9, 29.9
27.0, 25.8
42.1, 22.4
51.0, 15.5
77.3, 12.1
68.2, 11.9

No. 12
The following is a simulated powder X-ray diffraction pattern of KCaRh. It was derived from DFT lattice parameters and positions (PBE), using Cu Kα (λ = 1.5418 Å).

Structural model:
abc: 4.306 4.403 14.854
angles: 81.74 89.89 60.77
Space group P1 (No. 1)
Inequivalent atoms, fractional coordinates:
K 0.000 0.000 0.000 (multiplicity 1)
K 0.229 0.529 0.735 (multiplicity 1)
Ca 0.404 0.201 0.249 (multiplicity 1)
Ca 0.478 0.050 0.486 (multiplicity 1)
Rh 0.102 0.803 0.367 (multiplicity 1)
Rh 0.780 0.448 0.367 (multiplicity 1)

Most intense lines, 10 to 90 degrees two-theta, in order of falling intensity:
2theta, I/Imax
12.1, 100.0
18.2, 45.7
41.0, 29.8
28.8, 22.3
42.0, 17.7
31.2, 15.9
27.6, 15.0
40.6, 14.8
42.5, 13.0
32.8, 12.4

No. 13
The following is a simulated powder X-ray diffraction pattern of Hf4Cu5Si6. It was derived from DFT lattice parameters and positions (PBE), using Cu Kα (λ = 1.5418 Å).

Structural model:
abc: 3.890 17.292 14.016
angles: 90.00 90.00 90.00
Space group Cmc2_1 (No. 36)
Inequivalent atoms, fractional coordinates:
Hf 0.000 0.018 0.000 (multiplicity 4)
Hf 0.000 0.033 0.266 (multiplicity 4)
Hf 0.000 0.167 0.806 (multiplicity 4)
Hf 0.000 0.178 0.442 (multiplicity 4)
Cu 0.000 0.149 0.126 (multiplicity 4)
Cu 0.000 0.303 0.121 (multiplicity 4)
Cu 0.000 0.344 0.777 (multiplicity 4)
Cu 0.000 0.353 0.480 (multiplicity 4)
Cu 0.000 0.437 0.186 (multiplicity 4)
Si 0.000 0.112 0.616 (multiplicity 4)
Si 0.000 0.222 0.988 (multiplicity 4)
Si 0.000 0.228 0.260 (multiplicity 4)
Si 0.000 0.430 0.911 (multiplicity 4)
Si 0.000 0.432 0.630 (multiplicity 4)
Si 0.000 0.442 0.355 (multiplicity 4)

Most intense lines, 10 to 90 degrees two-theta, in order of falling intensity:
2theta, I/Imax
39.9, 100.0
30.3, 67.2
46.7, 47.1
23.4, 44.0
35.3, 40.1
34.8, 37.1
37.9, 35.5
34.7, 31.6
31.0, 31.1
28.1, 26.3